This entry pairs a crystal structure of LaTbY14 with its computed powder diffractogram. Radiation: Cu Kα (λ = 1.5418 Å). Structure: a crystal structure in Alexandria, relaxed with GGA-PBE.

Main lines, most intense first (2θ from 10° to 90°):
| hkl | two_theta | d [Å] | intensity |
| --- | --- | --- | --- |
| 2 0 2 | 30.6 | 2.925 | 100 |
| 2 2 0 | 35.4 | 2.533 | 50 |
| 4 2 2 | 60.6 | 1.527 | 41 |
| 4 0 0 | 51.0 | 1.791 | 35 |
| 6 0 2 | 83.1 | 1.162 | 16 |
| 4 0 4 | 63.6 | 1.462 | 12 |
| 6 2 0 | 85.7 | 1.133 | 10 |
| 2 2 8 | 85.9 | 1.132 | 5 |
| 4 4 0 | 75.0 | 1.267 | 4 |
| 0 0 8 | 75.1 | 1.265 | 2 |
| 1 1 1 | 19.6 | 4.532 | 1 |
| 1 1 0 | 17.5 | 5.066 | 1 |

Atomic structure:
```
data_LaTbY14
_cell_length_a 7.168
_cell_length_b 7.168
_cell_length_c 10.120
_cell_angle_alpha 90.00
_cell_angle_beta 90.00
_cell_angle_gamma 90.00
_symmetry_space_group_name_H-M 'P 4/m m m'
_symmetry_Int_Tables_number 123
_symmetry_space_group_name_Hall '-P 4 2'
loop_
_atom_site_label
_atom_site_fract_x
_atom_site_fract_y
_atom_site_fract_z
La1 0.000 0.000 0.000
Tb1 0.500 0.500 0.000
Y1 0.000 0.000 0.500
Y2 0.000 0.500 0.000
Y3 0.000 0.500 0.500
Y4 0.251 0.251 0.251
Y5 0.500 0.500 0.500
```

This entry pairs a crystal structure of Pm3Dy4Tm8 with its computed powder diffractogram. Radiation: Cu Kα (λ = 1.5418 Å). Structure: a crystal structure in Alexandria, relaxed with GGA-PBE.

Main lines, most intense first (2θ from 10° to 90°):
| hkl | two_theta | d [Å] | intensity |
| --- | --- | --- | --- |
| 4 0 -2 | 31.0 | 2.886 | 100 |
| 4 0 0 | 31.2 | 2.869 | 48 |
| 4 4 -2 | 42.2 | 2.143 | 46 |
| 0 4 0 | 27.9 | 3.201 | 35 |
| 2 4 -1 | 32.0 | 2.798 | 30 |
| 4 4 0 | 42.3 | 2.136 | 22 |
| 4 8 -2 | 66.8 | 1.400 | 21 |
| 2 4 1 | 39.0 | 2.308 | 13 |
| 8 4 -2 | 63.1 | 1.473 | 12 |
| 4 8 0 | 67.0 | 1.398 | 10 |
| 4 0 -4 | 55.0 | 1.669 | 10 |
| 8 0 -2 | 55.4 | 1.658 | 9 |

Atomic structure:
```
data_Pm3Dy4Tm8
_cell_length_a 13.265
_cell_length_b 12.803
_cell_length_c 6.677
_cell_angle_alpha 90.00
_cell_angle_beta 120.11
_cell_angle_gamma 90.00
_symmetry_space_group_name_H-M 'C 1 2/m 1'
_symmetry_Int_Tables_number 12
loop_
_symmetry_equiv_pos_as_xyz
'x,y,z'
'-x,-y,-z'
'-x,y,-z'
'x,-y,z'
'x+1/2,y+1/2,z'
'-x+1/2,-y+1/2,-z'
'-x+1/2,y+1/2,-z'
'x+1/2,-y+1/2,z'
loop_
_atom_site_label
_atom_site_fract_x
_atom_site_fract_y
_atom_site_fract_z
Pm1 0.000 0.000 0.000
Pm2 0.250 0.250 0.000
Dy1 0.000 0.000 0.500
Dy2 0.000 0.500 0.000
Dy3 0.250 0.250 0.500
Tm1 0.000 0.254 0.000
Tm2 0.000 0.363 0.500
Tm3 0.232 0.500 0.970
Tm4 0.234 0.500 0.491
```

This entry pairs a crystal structure of Ac2In3Sn3 with its computed powder diffractogram. Radiation: Cu Kα (λ = 1.5418 Å). Structure: a crystal structure in Alexandria, relaxed with GGA-PBE.

Main lines, most intense first (2θ from 10° to 90°):
| hkl | two_theta | d [Å] | intensity |
| --- | --- | --- | --- |
| 1 1 2 | 31.5 | 2.837 | 100 |
| 2 0 0 | 36.9 | 2.437 | 33 |
| 2 2 0 | 52.4 | 1.745 | 24 |
| 0 2 0 | 35.9 | 2.499 | 18 |
| 1 3 2 | 61.9 | 1.500 | 15 |
| 3 1 2 | 63.1 | 1.474 | 14 |
| 1 1 6 | 63.2 | 1.472 | 14 |
| 2 2 4 | 65.8 | 1.419 | 12 |
| 2 0 4 | 53.1 | 1.723 | 12 |
| 3 3 2 | 85.8 | 1.132 | 6 |
| 1 3 6 | 86.0 | 1.131 | 6 |
| 3 1 6 | 87.0 | 1.120 | 6 |

Atomic structure:
```
data_Ac2In3Sn3
_cell_length_a 4.880
_cell_length_b 4.998
_cell_length_c 9.738
_cell_angle_alpha 90.00
_cell_angle_beta 90.00
_cell_angle_gamma 90.00
_symmetry_space_group_name_H-M 'P m m m'
_symmetry_Int_Tables_number 47
loop_
_symmetry_equiv_pos_as_xyz
'x,y,z'
'-x,-y,-z'
'-x,-y,z'
'x,y,-z'
'x,-y,-z'
'-x,y,z'
'-x,y,-z'
'x,-y,z'
loop_
_atom_site_label
_atom_site_fract_x
_atom_site_fract_y
_atom_site_fract_z
Ac1 0.000 0.000 0.248
In1 0.000 0.500 0.500
In2 0.500 0.500 0.255
Sn1 0.000 0.500 0.000
Sn2 0.500 0.000 0.000
Sn3 0.500 0.000 0.500
```

This entry pairs a crystal structure of La3SnCl with its computed powder diffractogram. Radiation: Cu Kα (λ = 1.5418 Å). Structure: a crystal structure in Alexandria, relaxed with GGA-PBE.

Main lines, most intense first (2θ from 10° to 90°):
| hkl | two_theta | d [Å] | intensity |
| --- | --- | --- | --- |
| 2 1 2 | 30.4 | 2.942 | 100 |
| 1 1 3 | 28.3 | 3.149 | 66 |
| 2 1 1 | 28.6 | 3.122 | 50 |
| 1 0 5 | 31.0 | 2.885 | 47 |
| 0 2 0 | 40.3 | 2.239 | 36 |
| 3 0 1 | 30.1 | 2.972 | 29 |
| 0 1 5 | 35.7 | 2.516 | 28 |
| 2 0 4 | 30.7 | 2.917 | 28 |
| 1 2 5 | 51.7 | 1.769 | 24 |
| 2 0 7 | 46.3 | 1.960 | 20 |
| 3 1 6 | 51.2 | 1.784 | 17 |
| 3 1 3 | 40.1 | 2.249 | 15 |

Atomic structure:
```
data_La3SnCl
_cell_length_a 9.093
_cell_length_b 4.478
_cell_length_c 15.211
_cell_angle_alpha 90.00
_cell_angle_beta 90.00
_cell_angle_gamma 90.00
_symmetry_space_group_name_H-M 'P n m a'
_symmetry_Int_Tables_number 62
loop_
_symmetry_equiv_pos_as_xyz
'x,y,z'
'-x,-y,-z'
'-x+1/2,-y,z+1/2'
'x+1/2,y,-z+1/2'
'x+1/2,-y+1/2,-z+1/2'
'-x+1/2,y+1/2,z+1/2'
'-x,y+1/2,-z'
'x,-y+1/2,z'
loop_
_atom_site_label
_atom_site_fract_x
_atom_site_fract_y
_atom_site_fract_z
La1 0.017 0.250 0.111
La2 0.156 0.250 0.516
La3 0.175 0.750 0.283
Sn1 0.099 0.750 0.676
Cl1 0.171 0.250 0.946
```

- What is the formula in the fourth record?
  La3SnCl